This entry pairs a crystal structure of LiCe2UO6 with its simulated powder XRD pattern. Radiation: Cu Kα X-rays. Structure: a cell relaxed with PBE.
No peak broadening, texture or thermal motion is included.

Atomic structure:
```
LiCe2UO6
1.0
2.965 1.712 4.985
-2.965 1.712 4.985
0.000 -3.424 4.985
Li Ce U O
1 2 1 6
Direct
0.000 0.000 0.000 Li
0.277 0.277 0.277 Ce
0.781 0.781 0.781 Ce
0.496 0.496 0.496 U
0.127 0.685 0.387 O
0.209 0.609 0.862 O
0.387 0.127 0.685 O
0.609 0.862 0.209 O
0.685 0.387 0.127 O
0.862 0.209 0.609 O
```

Largest 6 diffraction maxima, low angle first, 2θ = 15–90°:
18.26 deg, I 77
29.55 deg, I 99
30.14 deg, I 100
35.21 deg, I 35
42.71 deg, I 44
53.16 deg, I 44